# 1
Simulated XRD peak list of MnPH6NO5 for copper Kα, from a cell relaxed with PBE+U.
Kinematic intensities with the Lorentz-polarization factor, no thermal factor.

Most intense lines, 5 to 70 degrees two-theta, most intense first:
2θ 9.79, d 9.031, intensity 100; 2θ 31.06, d 2.880, intensity 42; 2θ 30.93, d 2.891, intensity 19; 2θ 20.62, d 4.307, intensity 15; 2θ 18.22, d 4.869, intensity 11; 2θ 28.10, d 3.176, intensity 8; 2θ 34.53, d 2.598, intensity 7; 2θ 39.15, d 2.301, intensity 7; 2θ 51.39, d 1.778, intensity 7; 2θ 48.99, d 1.859, intensity 6; 2θ 24.31, d 3.661, intensity 6; 2θ 55.10, d 1.667, intensity 6

```
MnPH6NO5
1.0
18.0624 0.0000 0.0000
0.0000 5.7814 0.0000
0.0000 0.0000 4.9007
Mn P H N O
4 4 24 4 20
Direct
0.2373 0.2500 0.1402 Mn
0.2627 0.7500 0.6402 Mn
0.7373 0.2500 0.3598 Mn
0.7627 0.7500 0.8598 Mn
0.1506 0.7500 0.2089 P
0.3494 0.2500 0.7089 P
0.6506 0.7500 0.2911 P
0.8494 0.2500 0.7911 P
0.0224 0.7500 0.9304 H
0.0244 0.7500 0.5744 H
0.0421 0.1025 0.2512 H
0.0421 0.3975 0.2512 H
0.1539 0.1148 0.6901 H
0.1539 0.3852 0.6901 H
0.3461 0.6148 0.1901 H
0.3461 0.8852 0.1901 H
0.4579 0.6025 0.7512 H
0.4579 0.8975 0.7512 H
0.4756 0.2500 0.0744 H
0.4776 0.2500 0.4304 H
0.5224 0.7500 0.5696 H
0.5244 0.7500 0.9256 H
0.5421 0.1025 0.2488 H
0.5421 0.3975 0.2488 H
0.6539 0.1148 0.8099 H
0.6539 0.3852 0.8099 H
0.8461 0.6148 0.3099 H
0.8461 0.8852 0.3099 H
0.9579 0.6025 0.7488 H
0.9579 0.8975 0.7488 H
0.9756 0.2500 0.4256 H
0.9776 0.2500 0.0696 H
0.0095 0.2500 0.2501 N
0.4905 0.7500 0.7501 N
0.5095 0.2500 0.2499 N
0.9905 0.7500 0.7499 N
0.0652 0.7500 0.2515 O
0.1478 0.2500 0.8117 O
0.1685 0.7500 0.9037 O
0.1861 0.5343 0.3556 O
0.1861 0.9657 0.3556 O
0.3139 0.0343 0.8556 O
0.3139 0.4657 0.8556 O
0.3315 0.2500 0.4037 O
0.3522 0.7500 0.3117 O
0.4348 0.2500 0.7515 O
0.5652 0.7500 0.2485 O
0.6478 0.2500 0.6883 O
0.6685 0.7500 0.5963 O
0.6861 0.5343 0.1444 O
0.6861 0.9657 0.1444 O
0.8139 0.0343 0.6444 O
0.8139 0.4657 0.6444 O
0.8315 0.2500 0.0963 O
0.8522 0.7500 0.1883 O
0.9348 0.2500 0.7485 O
```

# 2
Simulated XRD peak list of MnPH6NO5 for copper Kα, from a cell relaxed with PBE+U.
Kinematic intensities with the Lorentz-polarization factor, no thermal factor.

Most intense lines, 5 to 70 degrees two-theta, most intense first:
2θ 9.79, d 9.036, intensity 100; 2θ 31.05, d 2.880, intensity 51; 2θ 30.93, d 2.891, intensity 19; 2θ 20.62, d 4.307, intensity 16; 2θ 25.79, d 3.454, intensity 11; 2θ 18.22, d 4.870, intensity 11; 2θ 38.38, d 2.345, intensity 11; 2θ 55.09, d 1.667, intensity 7; 2θ 41.41, d 2.181, intensity 7; 2θ 53.06, d 1.726, intensity 6; 2θ 37.47, d 2.400, intensity 6; 2θ 48.72, d 1.869, intensity 6

```
MnPH6NO5
1.0
5.7816 0.0000 0.0000
0.0000 9.0356 0.0000
0.0000 0.0000 4.9001
Mn P H N O
2 2 12 2 10
Direct
0.0000 0.0256 0.0000 Mn
0.5000 0.9744 0.5000 Mn
0.0000 0.8013 0.5686 P
0.5000 0.1987 0.0686 P
0.0000 0.5455 0.2873 H
0.0000 0.5481 0.9314 H
0.1352 0.1920 0.5495 H
0.1475 0.4158 0.1055 H
0.3525 0.5842 0.6055 H
0.3648 0.8080 0.0495 H
0.5000 0.4519 0.4314 H
0.5000 0.4545 0.7873 H
0.6352 0.8080 0.0495 H
0.6475 0.5842 0.6055 H
0.8525 0.4158 0.1055 H
0.8648 0.1920 0.5495 H
0.0000 0.4808 0.1079 N
0.5000 0.5192 0.6079 N
0.0000 0.2041 0.6713 O
0.0000 0.6304 0.6100 O
0.0000 0.8375 0.2635 O
0.2157 0.8721 0.7156 O
0.2843 0.1279 0.2156 O
0.5000 0.1625 0.7635 O
0.5000 0.3696 0.1100 O
0.5000 0.7959 0.1713 O
0.7157 0.1279 0.2156 O
0.7843 0.8721 0.7156 O
```

# 3
Simulated XRD peak list of MnHPdNO for copper Kα, from a cell relaxed with PBE+U.
Kinematic intensities with the Lorentz-polarization factor, no thermal factor.

Most intense lines, 5 to 70 degrees two-theta, most intense first:
2θ 18.61, d 4.767, intensity 100; 2θ 36.16, d 2.484, intensity 42; 2θ 37.19, d 2.418, intensity 33; 2θ 47.03, d 1.932, intensity 20; 2θ 32.94, d 2.719, intensity 15; 2θ 44.53, d 2.035, intensity 13; 2θ 19.69, d 4.509, intensity 11; 2θ 37.74, d 2.384, intensity 11; 2θ 47.81, d 1.903, intensity 10; 2θ 60.27, d 1.536, intensity 9; 2θ 40.00, d 2.254, intensity 9; 2θ 59.07, d 1.564, intensity 8

```
MnHPdNO
1.0
5.2470 0.0000 0.0000
0.0000 2.8642 0.0000
-2.2867 0.0000 4.9726
Mn H Pd N O
1 1 1 1 1
Direct
0.0000 0.0000 0.0000 Mn
0.4102 0.5000 0.9636 H
0.9980 0.5000 0.4984 Pd
0.1932 0.5000 0.8980 N
0.8002 0.5000 0.0862 O
```

# 4
Simulated XRD peak list of Mn2ZnH12N4O8 for copper Kα, from a cell relaxed with PBE+U.
Kinematic intensities with the Lorentz-polarization factor, no thermal factor.

Most intense lines, 5 to 70 degrees two-theta, most intense first:
2θ 23.79, d 3.740, intensity 100; 2θ 27.98, d 3.189, intensity 30; 2θ 41.84, d 2.159, intensity 28; 2θ 48.70, d 1.870, intensity 22; 2θ 14.50, d 6.107, intensity 22; 2θ 66.11, d 1.413, intensity 20; 2θ 16.76, d 5.289, intensity 16; 2θ 44.51, d 2.036, intensity 7; 2θ 54.90, d 1.672, intensity 7; 2θ 38.05, d 2.365, intensity 6; 2θ 29.25, d 3.053, intensity 5; 2θ 37.05, d 2.427, intensity 5

```
Mn2ZnH12N4O8
1.0
0.0000 5.2886 5.2886
5.2886 0.0000 5.2886
5.2886 5.2886 0.0000
Mn Zn H N O
2 1 12 4 8
Direct
0.0000 0.0000 0.0000 Mn
0.2500 0.2500 0.2500 Mn
0.7500 0.7500 0.7500 Zn
0.1469 0.5439 0.5439 H
0.1469 0.5439 0.7653 H
0.1469 0.7653 0.5439 H
0.5439 0.1469 0.5439 H
0.5439 0.1469 0.7653 H
0.5439 0.5439 0.1469 H
0.5439 0.5439 0.7653 H
0.5439 0.7653 0.1469 H
0.5439 0.7653 0.5439 H
0.7653 0.1469 0.5439 H
0.7653 0.5439 0.1469 H
0.7653 0.5439 0.5439 H
0.0860 0.6380 0.6380 N
0.6380 0.0860 0.6380 N
0.6380 0.6380 0.0860 N
0.6380 0.6380 0.6380 N
0.2650 0.9117 0.9117 O
0.3385 0.3385 0.3385 O
0.3385 0.3385 0.9844 O
0.3385 0.9844 0.3385 O
0.9117 0.2650 0.9117 O
0.9117 0.9117 0.2650 O
0.9117 0.9117 0.9117 O
0.9844 0.3385 0.3385 O
```